Entry 1:
# La2Ni7
Simulated powder diffraction line list, a wavelength of 1.5418 Å. Input: the PBE geometry in the Materials Project.

Structural model:
```
data_La2Ni7
_chemical_formula_sum 'La12 Ni42'
_cell_length_a 5.0160
_cell_length_b 5.0160
_cell_length_c 36.9762
_cell_angle_alpha 90.00
_cell_angle_beta 90.00
_cell_angle_gamma 120.00
_symmetry_space_group_name_H-M 'R -3 m'
_symmetry_Int_Tables_number 166
_symmetry_space_group_name_Hall '-R 3 2"'
loop_
_atom_site_label
_atom_site_fract_x
_atom_site_fract_y
_atom_site_fract_z
La1 0.0000 0.0000 0.0506
La2 0.0000 0.0000 0.1469
Ni1 0.0000 0.0000 0.2785
Ni2 0.0000 0.0000 0.3876
Ni3 0.0000 0.0000 0.5000
Ni4 0.0000 0.5000 0.0000
Ni5 0.0011 0.5006 0.1085
```

Top 10 peaks for 10 to 90 degrees two-theta, sorted by position:
- 2θ 31.78, I = 38
- 2θ 33.71, I = 32
- 2θ 35.80, I = 45
- 2θ 41.65, I = 35
- 2θ 42.22, I = 100
- 2θ 44.08, I = 16
- 2θ 46.70, I = 16
- 2θ 64.30, I = 16
- 2θ 68.74, I = 22
- 2θ 75.87, I = 21

Entry 2:
# Pr5Pb3
Simulated powder diffraction line list, a wavelength of 1.5418 Å. Input: the PBE geometry in the Materials Project.

Structural model:
```
data_Pr5Pb3
_chemical_formula_sum 'Pr10 Pb6'
_cell_length_a 9.6311
_cell_length_b 9.6311
_cell_length_c 7.0798
_cell_angle_alpha 90.00
_cell_angle_beta 90.00
_cell_angle_gamma 120.00
_symmetry_space_group_name_H-M 'P 63/m c m'
_symmetry_Int_Tables_number 193
_symmetry_space_group_name_Hall '-P 6c 2'
loop_
_atom_site_label
_atom_site_fract_x
_atom_site_fract_y
_atom_site_fract_z
Pr1 0.0000 0.2401 0.2500
Pr2 0.3333 0.6667 0.0000
Pb1 0.0000 0.3948 0.7500
```

Top 10 peaks for 10 to 90 degrees two-theta, sorted by position:
- 2θ 25.16, I = 26
- 2θ 28.31, I = 22
- 2θ 31.05, I = 100
- 2θ 31.36, I = 72
- 2θ 32.20, I = 40
- 2θ 41.05, I = 21
- 2θ 45.56, I = 14
- 2θ 48.17, I = 30
- 2θ 54.49, I = 13
- 2θ 61.45, I = 22

Entry 3:
# PbI2
Simulated powder diffraction line list, a wavelength of 1.5418 Å. Input: the PBE geometry in the Materials Project.

Structural model:
```
data_PbI2
_chemical_formula_sum 'Pb10 I20'
_cell_length_a 4.6688
_cell_length_b 4.6688
_cell_length_c 75.0818
_cell_angle_alpha 90.00
_cell_angle_beta 90.00
_cell_angle_gamma 120.00
_symmetry_space_group_name_H-M 'P 3 m 1'
_symmetry_Int_Tables_number 156
_symmetry_space_group_name_Hall 'P 3 -2"'
loop_
_atom_site_label
_atom_site_fract_x
_atom_site_fract_y
_atom_site_fract_z
Pb1 0.0000 0.0000 0.0000
Pb2 0.0000 0.0000 0.0998
Pb3 0.0000 0.0000 0.1999
Pb4 0.0000 0.0000 0.3001
Pb5 0.0000 0.0000 0.4000
Pb6 0.0000 0.0000 0.5001
Pb7 0.0000 0.0000 0.5998
Pb8 0.0000 0.0000 0.7001
Pb9 0.6667 0.3333 0.8001
Pb10 0.6667 0.3333 0.9000
I1 0.0000 0.0000 0.7753
I2 0.0000 0.0000 0.8751
I3 0.3333 0.6667 0.0249
I4 0.3333 0.6667 0.1247
I5 0.3333 0.6667 0.2248
I6 0.3333 0.6667 0.3250
I7 0.3333 0.6667 0.4249
I8 0.3333 0.6667 0.5249
I9 0.3333 0.6667 0.6247
I10 0.3333 0.6667 0.7249
I11 0.3333 0.6667 0.8250
I12 0.3333 0.6667 0.9248
I13 0.6667 0.3333 0.0750
I14 0.6667 0.3333 0.1750
I15 0.6667 0.3333 0.2752
I16 0.6667 0.3333 0.3751
I17 0.6667 0.3333 0.4752
I18 0.6667 0.3333 0.5749
I19 0.6667 0.3333 0.6752
I20 0.6667 0.3333 0.9751
```

Top 10 peaks for 10 to 90 degrees two-theta, sorted by position:
- 2θ 11.79, I = 62
- 2θ 25.01, I = 100
- 2θ 32.55, I = 47
- 2θ 38.57, I = 54
- 2θ 40.47, I = 20
- 2θ 42.48, I = 25
- 2θ 46.52, I = 19
- 2θ 51.33, I = 13
- 2θ 61.97, I = 16
- 2θ 63.61, I = 25

Entry 4:
# Te2Mo3WS6
Simulated powder diffraction line list, a wavelength of 1.5418 Å. Input: the PBE geometry in the Materials Project.

Structural model:
```
data_Te2Mo3WS6
_chemical_formula_sum 'Te2 Mo3 W1 S6'
_cell_length_a 3.2737
_cell_length_b 3.2737
_cell_length_c 38.6892
_cell_angle_alpha 90.00
_cell_angle_beta 90.00
_cell_angle_gamma 120.00
_symmetry_space_group_name_H-M 'P 3 m 1'
_symmetry_Int_Tables_number 156
_symmetry_space_group_name_Hall 'P 3 -2"'
loop_
_atom_site_label
_atom_site_fract_x
_atom_site_fract_y
_atom_site_fract_z
Te1 0.0000 0.0000 0.0000
Te2 0.0000 0.0000 0.0995
Mo1 0.0000 0.0000 0.4837
Mo2 0.3333 0.6667 0.0497
Mo3 0.3333 0.6667 0.6723
W1 0.0000 0.0000 0.8582
S1 0.0000 0.0000 0.6325
S2 0.0000 0.0000 0.7121
S3 0.3333 0.6667 0.4440
S4 0.3333 0.6667 0.5235
S5 0.3333 0.6667 0.8182
S6 0.3333 0.6667 0.8981
```

Top 10 peaks for 10 to 90 degrees two-theta, sorted by position:
- 2θ 11.44, I = 100
- 2θ 13.73, I = 26
- 2θ 31.58, I = 39
- 2θ 33.67, I = 12
- 2θ 36.75, I = 62
- 2θ 44.12, I = 37
- 2θ 45.85, I = 12
- 2θ 49.50, I = 10
- 2θ 56.21, I = 21
- 2θ 78.11, I = 10

Entry 5:
# SrZrCo
Simulated powder diffraction line list, a wavelength of 1.5418 Å. Input: the PBE geometry in the Materials Project.

Structural model:
```
data_SrZrCo
_chemical_formula_sum 'Sr4 Zr4 Co4'
_cell_length_a 6.5688
_cell_length_b 6.5688
_cell_length_c 6.5688
_cell_angle_alpha 90.00
_cell_angle_beta 90.00
_cell_angle_gamma 90.00
_symmetry_space_group_name_H-M 'F -4 3 m'
_symmetry_Int_Tables_number 216
_symmetry_space_group_name_Hall 'F -4 2 3'
loop_
_atom_site_label
_atom_site_fract_x
_atom_site_fract_y
_atom_site_fract_z
Sr1 0.0000 0.0000 0.0000
Zr1 0.2500 0.2500 0.7500
Co1 0.0000 0.0000 0.5000
```

Top 10 peaks for 10 to 90 degrees two-theta, sorted by position:
- 2θ 23.46, I = 40
- 2θ 27.15, I = 7
- 2θ 38.77, I = 100
- 2θ 45.81, I = 19
- 2θ 56.00, I = 17
- 2θ 61.54, I = 8
- 2θ 70.19, I = 33
- 2θ 75.15, I = 6
- 2θ 83.19, I = 10
- 2θ 87.95, I = 6

Entry 6:
# HfCuSn
Simulated powder diffraction line list, a wavelength of 1.5418 Å. Input: the PBE geometry in the Materials Project.

Structural model:
```
data_HfCuSn
_chemical_formula_sum 'Hf2 Cu2 Sn2'
_cell_length_a 4.4921
_cell_length_b 4.4921
_cell_length_c 6.4009
_cell_angle_alpha 90.00
_cell_angle_beta 90.00
_cell_angle_gamma 120.00
_symmetry_space_group_name_H-M 'P 63 m c'
_symmetry_Int_Tables_number 186
_symmetry_space_group_name_Hall 'P 6c -2c'
loop_
_atom_site_label
_atom_site_fract_x
_atom_site_fract_y
_atom_site_fract_z
Hf1 0.0000 0.0000 0.0000
Cu1 0.3333 0.6667 0.3022
Sn1 0.3333 0.6667 0.7435
```

Top 10 peaks for 10 to 90 degrees two-theta, sorted by position:
- 2θ 22.86, I = 15
- 2θ 26.82, I = 9
- 2θ 36.35, I = 100
- 2θ 40.15, I = 73
- 2θ 55.26, I = 30
- 2θ 57.60, I = 6
- 2θ 70.48, I = 29
- 2θ 72.53, I = 20
- 2θ 72.95, I = 13
- 2θ 86.70, I = 8

Entry 7:
# UV2
Simulated powder diffraction line list, a wavelength of 1.5418 Å. Input: the PBE geometry in the Materials Project.

Structural model:
```
data_UV2
_chemical_formula_sum 'U1 V2'
_cell_length_a 4.7231
_cell_length_b 4.7231
_cell_length_c 2.5907
_cell_angle_alpha 90.00
_cell_angle_beta 90.00
_cell_angle_gamma 120.00
_symmetry_space_group_name_H-M 'P 6/m m m'
_symmetry_Int_Tables_number 191
_symmetry_space_group_name_Hall '-P 6 2'
loop_
_atom_site_label
_atom_site_fract_x
_atom_site_fract_y
_atom_site_fract_z
U1 0.0000 0.0000 0.0000
V1 0.3333 0.6667 0.5000
```

Top 10 peaks for 10 to 90 degrees two-theta, sorted by position:
- 2θ 21.73, I = 100
- 2θ 38.11, I = 86
- 2θ 41.25, I = 100
- 2θ 44.29, I = 17
- 2θ 52.43, I = 12
- 2θ 57.40, I = 38
- 2θ 59.82, I = 15
- 2θ 68.86, I = 15
- 2θ 71.00, I = 41
- 2θ 85.50, I = 17

Entry 8:
# Cs2NaAuBr6
Simulated powder diffraction line list, a wavelength of 1.5418 Å. Input: the PBE geometry in the Materials Project.

Structural model:
```
data_Cs2NaAuBr6
_chemical_formula_sum 'Cs8 Na4 Au4 Br24'
_cell_length_a 11.2313
_cell_length_b 11.2313
_cell_length_c 11.2313
_cell_angle_alpha 90.00
_cell_angle_beta 90.00
_cell_angle_gamma 90.00
_symmetry_space_group_name_H-M 'F m -3 m'
_symmetry_Int_Tables_number 225
_symmetry_space_group_name_Hall '-F 4 2 3'
loop_
_atom_site_label
_atom_site_fract_x
_atom_site_fract_y
_atom_site_fract_z
Cs1 0.2500 0.2500 0.2500
Na1 0.0000 0.0000 0.0000
Au1 0.0000 0.0000 0.5000
Br1 0.0000 0.0000 0.2615
```

Top 10 peaks for 10 to 90 degrees two-theta, sorted by position:
- 2θ 13.66, I = 44
- 2θ 22.39, I = 53
- 2θ 27.51, I = 58
- 2θ 31.87, I = 100
- 2θ 39.30, I = 24
- 2θ 45.70, I = 71
- 2θ 54.17, I = 24
- 2θ 56.79, I = 24
- 2θ 75.75, I = 31
- 2θ 84.53, I = 23